[1]
Theoretical powder X-ray diffraction pattern of Mg5Si9 for Cu Kα, from a cell relaxed with PBE.
Intensities are scaled so that the largest is 100.

Largest 10 diffraction maxima, by angle, 10° ≤ 2θ ≤ 90°:
2θ 31.17, rel. 70
2θ 31.85, rel. 94
2θ 31.97, rel. 51
2θ 32.12, rel. 52
2θ 32.46, rel. 62
2θ 35.96, rel. 67
2θ 37.51, rel. 77
2θ 38.54, rel. 59
2θ 39.08, rel. 100
2θ 39.75, rel. 63

Atomic structure:
a b c (Å): 7.550 7.647 10.695
angles (deg): 107.90 95.22 110.30
Fractional coordinates of all 28 atoms:
Mg: 0.000 0.000 0.000
Mg: 0.021 0.782 0.701
Mg: 0.169 0.132 0.562
Mg: 0.475 0.977 0.480
Mg: 0.545 0.530 0.580
Mg: 0.593 0.852 0.015
Mg: 0.659 0.993 0.779
Mg: 0.812 0.672 0.143
Mg: 0.838 0.100 0.352
Mg: 0.876 0.313 0.669
Si: 0.007 0.522 0.956
Si: 0.125 0.644 0.404
Si: 0.130 0.367 0.216
Si: 0.157 0.487 0.558
Si: 0.206 0.124 0.297
Si: 0.231 0.842 0.119
Si: 0.236 0.393 0.849
Si: 0.305 0.962 0.933
Si: 0.347 0.680 0.781
Si: 0.366 0.448 0.077
Si: 0.492 0.785 0.228
Si: 0.511 0.260 0.737
Si: 0.549 0.257 0.104
Si: 0.571 0.272 0.334
Si: 0.762 0.597 0.847
Si: 0.794 0.615 0.374
Si: 0.801 0.896 0.554
Si: 0.846 0.272 0.043

=====

[2]
Theoretical powder X-ray diffraction pattern of Pa2CuP2N6 for Cu Kα, from a cell relaxed with PBE.
Intensities are scaled so that the largest is 100.

Largest 10 diffraction maxima, by angle, 10° ≤ 2θ ≤ 90°:
2θ 22.25, rel. 81
2θ 22.59, rel. 100
2θ 24.64, rel. 85
2θ 28.61, rel. 42
2θ 29.76, rel. 88
2θ 31.73, rel. 48
2θ 31.99, rel. 48
2θ 32.90, rel. 58
2θ 34.43, rel. 50
2θ 45.13, rel. 47

Atomic structure:
a b c (Å): 4.387 6.037 6.487
angles (deg): 98.96 105.25 109.18
Fractional coordinates of all 11 atoms:
Pa: 0.232 0.326 0.177
Pa: 0.768 0.674 0.823
Cu: 0.500 0.000 0.500
P: 0.084 0.237 0.673
P: 0.916 0.763 0.327
N: 0.112 0.063 0.846
N: 0.189 0.516 0.842
N: 0.392 0.287 0.559
N: 0.608 0.713 0.441
N: 0.811 0.484 0.158
N: 0.888 0.937 0.154

=====

[3]
Theoretical powder X-ray diffraction pattern of CsLuNb6Br18 for Cu Kα, from a cell relaxed with PBE.
Intensities are scaled so that the largest is 100.

Largest 10 diffraction maxima, by angle, 10° ≤ 2θ ≤ 90°:
2θ 10.30, rel. 68
2θ 14.10, rel. 75
2θ 20.34, rel. 40
2θ 29.14, rel. 55
2θ 31.16, rel. 93
2θ 33.78, rel. 100
2θ 34.35, rel. 43
2θ 36.91, rel. 47
2θ 48.57, rel. 35
2θ 48.84, rel. 39

Atomic structure:
a b c (Å): 9.919 9.919 18.425
angles (deg): 90.00 90.00 120.00
Fractional coordinates of all 52 atoms:
Cs: 0.333 0.667 0.250
Cs: 0.667 0.333 0.750
Lu: 0.333 0.667 0.750
Lu: 0.667 0.333 0.250
Nb: 0.041 0.189 0.565
Nb: 0.041 0.852 0.935
Nb: 0.148 0.189 0.935
Nb: 0.148 0.959 0.565
Nb: 0.189 0.041 0.065
Nb: 0.189 0.148 0.435
Nb: 0.811 0.852 0.565
Nb: 0.811 0.959 0.935
Nb: 0.852 0.041 0.435
Nb: 0.852 0.811 0.065
Nb: 0.959 0.148 0.065
Nb: 0.959 0.811 0.435
Br: 0.049 0.233 0.340
Br: 0.049 0.816 0.160
Br: 0.091 0.451 0.663
Br: 0.091 0.641 0.837
Br: 0.135 0.415 0.001
Br: 0.135 0.720 0.499
Br: 0.184 0.233 0.160
Br: 0.184 0.951 0.340
Br: 0.233 0.049 0.840
Br: 0.233 0.184 0.660
Br: 0.280 0.415 0.499
Br: 0.280 0.865 0.001
Br: 0.359 0.451 0.837
Br: 0.359 0.909 0.663
Br: 0.415 0.135 0.501
Br: 0.415 0.280 0.999
Br: 0.451 0.091 0.163
Br: 0.451 0.359 0.337
Br: 0.549 0.641 0.663
Br: 0.549 0.909 0.837
Br: 0.585 0.720 0.001
Br: 0.585 0.865 0.499
Br: 0.641 0.091 0.337
Br: 0.641 0.549 0.163
Br: 0.720 0.135 0.999
Br: 0.720 0.585 0.501
Br: 0.767 0.816 0.340
Br: 0.767 0.951 0.160
Br: 0.816 0.049 0.660
Br: 0.816 0.767 0.840
Br: 0.865 0.280 0.501
Br: 0.865 0.585 0.999
Br: 0.909 0.359 0.163
Br: 0.909 0.549 0.337
Br: 0.951 0.184 0.840
Br: 0.951 0.767 0.660

=====

[4]
Theoretical powder X-ray diffraction pattern of Mg16Al12Ru for Cu Kα, from a cell relaxed with PBE.
Intensities are scaled so that the largest is 100.

Largest 10 diffraction maxima, by angle, 10° ≤ 2θ ≤ 90°:
2θ 11.87, rel. 38
2θ 12.14, rel. 45
2θ 34.41, rel. 36
2θ 36.15, rel. 55
2θ 36.61, rel. 48
2θ 36.92, rel. 100
2θ 40.71, rel. 32
2θ 40.96, rel. 34
2θ 44.10, rel. 31
2θ 65.67, rel. 26

Atomic structure:
a b c (Å): 8.966 8.966 8.966
angles (deg): 108.86 108.86 108.86
Fractional coordinates of all 29 atoms:
Mg: 0.000 0.000 0.000
Mg: 0.260 0.668 0.668
Mg: 0.306 0.580 0.977
Mg: 0.306 0.977 0.580
Mg: 0.341 0.985 0.985
Mg: 0.417 0.417 0.676
Mg: 0.417 0.676 0.417
Mg: 0.580 0.306 0.977
Mg: 0.580 0.977 0.306
Mg: 0.668 0.260 0.668
Mg: 0.668 0.668 0.260
Mg: 0.676 0.417 0.417
Mg: 0.977 0.306 0.580
Mg: 0.977 0.580 0.306
Mg: 0.985 0.341 0.985
Mg: 0.985 0.985 0.341
Al: 0.143 0.334 0.334
Al: 0.178 0.178 0.784
Al: 0.178 0.784 0.178
Al: 0.334 0.143 0.334
Al: 0.334 0.334 0.143
Al: 0.622 0.802 0.982
Al: 0.622 0.982 0.802
Al: 0.784 0.178 0.178
Al: 0.802 0.622 0.982
Al: 0.802 0.982 0.622
Al: 0.982 0.622 0.802
Al: 0.982 0.802 0.622
Ru: 0.720 0.720 0.720